Diffraction record for KBr2Cl4. The powder XRD pattern is calculated, not measured: it uses the PBE geometry in Alexandria and Cu Kα, 1.54184 Å.
Neutral-atom scattering factors, no anomalous dispersion.

Atomic structure:
Cell: 14.8064 14.8721 8.9607 Å, 90.00 90.00 90.00°
Space group Fdd2 (No. 43)
Unique sites:
K 0.0000 0.0000 0.0000 x8
Br 0.0298 0.2795 0.8751 x16
Cl 0.0801 0.1120 0.3075 x16
Cl 0.1119 0.4192 0.1931 x16

Largest 12 diffraction maxima, sorted by position, 2θ from 10° to 80°:
(hkl)  d (Å)  Position (°2θ)  intensity
2 2 0  5.246  16.90  27
3 1 1  4.157  21.37  50
2 0 2  3.835  23.19  100
3 3 1  3.258  27.37  79
1 1 3  2.873  31.13  29
2 4 2  2.667  33.61  35
4 4 0  2.623  34.18  22
2 2 4  2.059  43.97  35
1 7 1  2.046  44.27  18
7 1 1  2.039  44.43  13
5 3 3  1.937  46.90  21
5 1 5  1.526  60.69  15



Diffraction record for K5Br4Cl. The powder XRD pattern is calculated, not measured: it uses the PBE geometry in Alexandria and Cu Kα, 1.54184 Å.
Neutral-atom scattering factors, no anomalous dispersion.

Atomic structure:
Cell: 10.4793 10.4793 6.6404 Å, 90.00 90.00 90.00°
Space group I4/m (No. 87)
Unique sites:
K 0.0000 0.0000 0.0000 x2
K 0.0966 0.2922 0.5000 x8
Br 0.0984 0.2998 0.0000 x8
Cl 0.0000 0.0000 0.5000 x2

Largest 12 diffraction maxima, sorted by position, 2θ from 10° to 80°:
(hkl)  d (Å)  Position (°2θ)  intensity
1 0 1  5.609  15.80  2
2 1 1  3.829  23.23  16
0 0 2  3.316  26.89  100
1 3 2  2.345  38.39  73
5 0 1  2.000  45.35  8
4 2 2  1.914  47.49  25
0 0 4  1.660  55.34  4
2 6 0  1.657  55.46  8
6 3 1  1.521  60.89  4
1 3 4  1.483  62.62  21
7 1 0  1.482  62.69  10
4 2 4  1.354  69.43  23



Diffraction record for K4BrCl3. The powder XRD pattern is calculated, not measured: it uses the PBE geometry in Alexandria and Cu Kα, 1.54184 Å.
Neutral-atom scattering factors, no anomalous dispersion.

Atomic structure:
Cell: 9.1855 12.9135 4.5374 Å, 90.00 90.00 90.00°
Space group Cmmm (No. 65)
Unique sites:
K 0.0000 0.2456 0.0000 x4
K 0.2398 0.0000 0.5000 x4
Br 0.0000 0.5000 0.0000 x2
Cl 0.0000 0.0000 0.0000 x2
Cl 0.2500 0.2500 0.5000 x4

Largest 12 diffraction maxima, sorted by position, 2θ from 10° to 80°:
(hkl)  d (Å)  Position (°2θ)  intensity
1 1 0  7.485  11.82  5
2 0 1  3.228  27.63  100
4 0 0  2.296  39.23  12
2 4 1  2.283  39.48  46
0 0 2  2.269  39.73  11
4 4 0  1.871  48.66  12
0 4 2  1.856  49.08  12
0 8 0  1.614  57.06  10
6 0 1  1.451  64.21  5
2 8 1  1.444  64.55  19
6 4 1  1.323  71.27  7
2 4 3  1.312  71.94  7



Diffraction record for KBrCl4. The powder XRD pattern is calculated, not measured: it uses the PBE geometry in Alexandria and Cu Kα, 1.54184 Å.
Neutral-atom scattering factors, no anomalous dispersion.

Atomic structure:
Cell: 11.0936 11.4917 9.1493 Å, 90.00 126.32 90.00°
Space group C2/c (No. 15)
Unique sites:
K 0.0000 0.2082 0.2500 x4
Br 0.0000 0.3582 0.7500 x4
Cl 0.1341 0.2205 0.6871 x8
Cl 0.2437 0.4081 0.3764 x8

Largest 12 diffraction maxima, sorted by position, 2θ from 10° to 80°:
(hkl)  d (Å)  Position (°2θ)  intensity
0 2 0  5.746  15.42  42
1 1 1  4.208  21.11  64
1 1 -2  4.162  21.35  48
2 2 -1  3.990  22.28  100
0 0 2  3.686  24.14  50
2 2 0  3.527  25.25  17
0 2 2  3.102  28.78  21
2 2 1  2.725  32.87  29
3 3 -1  2.624  34.17  42
4 2 -3  2.354  38.24  28
3 3 -3  2.327  38.69  22
6 0 -4  1.786  51.15  18



Diffraction record for K4BrCl2. The powder XRD pattern is calculated, not measured: it uses the PBE geometry in Alexandria and Cu Kα, 1.54184 Å.
Neutral-atom scattering factors, no anomalous dispersion.

Atomic structure:
Cell: 4.5802 4.5802 46.2253 Å, 90.00 90.00 120.00°
Space group R-3m (No. 166, hexagonal axes)
Unique sites:
K 0.0000 0.0000 0.1228 x6
K 0.0000 0.0000 0.2901 x6
Br 0.0000 0.0000 0.0000 x3
Cl 0.0000 0.0000 0.4161 x6

Largest 12 diffraction maxima, sorted by position, 2θ from 10° to 80°:
(hkl)  d (Å)  Position (°2θ)  intensity
0 0 9  5.136  17.27  8
1 0 7  3.400  26.21  100
0 1 8  3.270  27.27  10
1 0 10  3.010  29.68  36
0 1 14  2.538  35.37  17
1 1 0  2.290  39.34  41
0 1 17  2.243  40.21  32
0 2 7  1.899  47.89  17
2 0 17  1.602  57.52  10
1 1 24  1.474  63.07  17
2 1 7  1.462  63.65  13
1 2 17  1.313  71.92  10



Diffraction record for K3Mn2Br3Cl4. The powder XRD pattern is calculated, not measured: it uses the PBE geometry in Alexandria and Cu Kα, 1.54184 Å.
Neutral-atom scattering factors, no anomalous dispersion.

Atomic structure:
Cell: 5.0417 5.3745 26.3582 Å, 90.00 90.00 90.00°
Space group Immm (No. 71)
Unique sites:
K 0.0000 0.0000 0.0000 x2
K 0.0000 0.0000 0.1833 x4
Mn 0.0000 0.0000 0.3943 x4
Br 0.0000 0.0000 0.5000 x2
Br 0.0000 0.5000 0.4019 x4
Cl 0.0000 0.0000 0.3013 x4
Cl 0.0000 0.5000 0.1028 x4

Largest 12 diffraction maxima, sorted by position, 2θ from 10° to 80°:
(hkl)  d (Å)  Position (°2θ)  intensity
0 0 4  6.590  13.44  46
1 0 1  4.952  17.91  70
1 1 4  3.211  27.78  66
1 1 6  2.820  31.73  100
0 2 0  2.687  33.34  77
0 0 10  2.636  34.02  66
1 0 9  2.532  35.45  25
2 0 0  2.521  35.62  64
0 2 10  1.882  48.37  42
2 2 0  1.839  49.58  46
2 0 10  1.822  50.07  41
2 2 10  1.508  61.51  55



Diffraction record for K8BrCl3O2. The powder XRD pattern is calculated, not measured: it uses the PBE geometry in Alexandria and Cu Kα, 1.54184 Å.
Neutral-atom scattering factors, no anomalous dispersion.

Atomic structure:
Cell: 8.0967 8.0967 9.2667 Å, 90.00 90.00 120.00°
Space group P-3m1 (No. 164)
Unique sites:
K 0.1800 0.3599 0.2878 x6
K 0.3333 0.6667 0.9095 x2
Br 0.0000 0.0000 0.5000 x1
Cl 0.0000 0.0000 0.0000 x1
Cl 0.3333 0.6667 0.5810 x2
O 0.3333 0.6667 0.1644 x2

Largest 12 diffraction maxima, sorted by position, 2θ from 10° to 80°:
(hkl)  d (Å)  Position (°2θ)  intensity
1 0 1  5.592  15.85  31
1 1 0  4.048  21.96  78
1 0 2  3.866  23.01  15
2 0 1  3.279  27.19  100
1 1 2  3.049  29.30  79
0 1 3  2.827  31.65  42
2 0 2  2.796  32.01  53
0 1 4  2.200  41.03  17
0 3 2  2.087  43.36  27
2 2 0  2.024  44.77  52
2 1 3  2.011  45.07  20
1 2 4  1.744  52.46  22



Diffraction record for K5BrCl2O. The powder XRD pattern is calculated, not measured: it uses the PBE geometry in Alexandria and Cu Kα, 1.54184 Å.
Neutral-atom scattering factors, no anomalous dispersion.

Atomic structure:
Cell: 5.1023 7.5198 15.1224 Å, 90.00 90.00 90.00°
Space group Immm (No. 71)
Unique sites:
K 0.0000 0.0000 0.0000 x2
K 0.0000 0.2646 0.3744 x8
Br 0.0000 0.5000 0.0000 x2
Cl 0.0000 0.0000 0.2108 x4
O 0.0000 0.5000 0.5000 x2

Largest 12 diffraction maxima, sorted by position, 2θ from 10° to 80°:
(hkl)  d (Å)  Position (°2θ)  intensity
0 0 2  7.561  11.70  22
0 1 3  4.187  21.22  15
1 1 2  3.686  24.14  48
1 0 3  3.586  24.83  45
1 2 1  2.968  30.11  100
0 2 4  2.666  33.62  76
1 0 5  2.601  34.48  54
2 0 0  2.551  35.18  40
0 4 0  1.880  48.42  14
2 2 4  1.843  49.45  45
1 4 5  1.524  60.79  16
2 4 0  1.513  61.25  14



Diffraction record for K2PaBr4Cl2. The powder XRD pattern is calculated, not measured: it uses the PBE geometry in Alexandria and Cu Kα, 1.54184 Å.
Neutral-atom scattering factors, no anomalous dispersion.

Atomic structure:
Cell: 13.7607 7.9610 7.7334 Å, 90.00 124.08 90.00°
Space group C2/m (No. 12)
Unique sites:
K 0.2492 0.0000 0.2271 x4
Pa 0.0000 0.0000 0.5000 x2
Br 0.0601 0.2488 0.8042 x8
Cl 0.2181 0.0000 0.6020 x4

Largest 12 diffraction maxima, sorted by position, 2θ from 10° to 80°:
(hkl)  d (Å)  Position (°2θ)  intensity
1 1 0  6.526  13.57  90
2 0 -1  6.396  13.85  100
2 0 0  5.698  15.55  54
1 1 -1  5.547  15.98  41
1 1 1  3.975  22.36  66
4 0 -1  3.407  26.15  51
0 2 1  3.381  26.36  50
1 1 -2  3.328  26.79  38
2 2 -2  2.774  32.28  81
2 2 1  2.589  34.64  45
0 2 2  2.494  36.01  43
6 2 -3  1.879  48.45  28



Diffraction record for K2PaBr2Cl4. The powder XRD pattern is calculated, not measured: it uses the PBE geometry in Alexandria and Cu Kα, 1.54184 Å.
Neutral-atom scattering factors, no anomalous dispersion.

Atomic structure:
Cell: 7.5072 7.5072 11.1387 Å, 90.00 90.00 90.00°
Space group I4/mmm (No. 139)
Unique sites:
K 0.0000 0.5000 0.2500 x4
Pa 0.0000 0.0000 0.0000 x2
Br 0.0000 0.0000 0.2538 x4
Cl 0.2477 0.2477 0.0000 x8

Largest 12 diffraction maxima, sorted by position, 2θ from 10° to 80°:
(hkl)  d (Å)  Position (°2θ)  intensity
1 0 1  6.225  14.23  100
1 1 0  5.308  16.70  66
2 0 0  3.754  23.70  33
1 0 3  3.328  26.79  27
2 1 1  3.214  27.75  41
0 0 4  2.785  32.14  28
2 2 0  2.654  33.77  49
2 1 3  2.490  36.07  24
1 1 4  2.466  36.43  20
3 1 0  2.374  37.90  18
2 2 4  1.921  47.31  36
4 0 4  1.556  59.38  21



Diffraction record for KPbBr2Cl. The powder XRD pattern is calculated, not measured: it uses the PBE geometry in Alexandria and Cu Kα, 1.54184 Å.
Neutral-atom scattering factors, no anomalous dispersion.

Atomic structure:
Cell: 4.4394 14.5976 10.6905 Å, 90.00 90.00 90.00°
Space group Cmcm (No. 63)
Unique sites:
K 0.0000 0.2333 0.2500 x4
Pb 0.0000 0.5000 0.0000 x4
Br 0.0000 0.1394 0.5588 x8
Cl 0.0000 0.4212 0.7500 x4

Largest 12 diffraction maxima, sorted by position, 2θ from 10° to 80°:
(hkl)  d (Å)  Position (°2θ)  intensity
0 2 0  7.299  12.13  54
0 0 2  5.345  16.58  72
0 2 2  4.312  20.60  60
1 1 0  4.247  20.92  22
1 3 0  3.280  27.19  100
0 2 3  3.202  27.86  25
1 3 2  2.795  32.02  86
0 6 0  2.437  36.88  24
1 1 4  2.262  39.85  27
2 0 0  2.219  40.65  70
0 6 2  2.214  40.75  29
1 3 4  2.072  43.69  23



Diffraction record for KPuBr2Cl. The powder XRD pattern is calculated, not measured: it uses the PBE geometry in Alexandria and Cu Kα, 1.54184 Å.
Neutral-atom scattering factors, no anomalous dispersion.

Atomic structure:
Cell: 5.9216 5.9216 5.5737 Å, 90.00 90.00 90.00°
Space group P4mm (No. 99)
Unique sites:
K 0.0000 0.0000 0.0000 x1
Pu 0.5000 0.5000 0.3565 x1
Br 0.0000 0.5000 0.3217 x2
Cl 0.5000 0.5000 0.8515 x1

Largest 12 diffraction maxima, sorted by position, 2θ from 10° to 80°:
(hkl)  d (Å)  Position (°2θ)  intensity
1 0 0  5.922  14.96  100
0 0 1  5.574  15.90  96
1 0 1  4.059  21.90  80
2 0 0  2.961  30.18  84
2 1 0  2.648  33.85  28
2 0 1  2.615  34.30  61
1 0 2  2.522  35.60  38
2 1 1  2.392  37.60  42
2 2 0  2.094  43.21  31
2 0 2  2.029  44.65  42
2 1 2  1.920  47.35  34
2 0 3  1.574  58.64  29